[1]
Starting from the PBE geometry in Alexandria, the powder X-ray diffraction pattern of Ba2Tl12In was simulated for λ = 1.5418 Å (Cu Kα).
Kinematic intensities with the Lorentz-polarization factor, no thermal factor.

Structural model:
Lattice parameters (Å, degrees): 7.347 7.347 19.066 90.00 90.00 90.00
Fractional positions:
Ba 0.250 0.750 0.247
Ba 0.250 0.750 0.753
Ba 0.750 0.250 0.247
Ba 0.750 0.250 0.753
Tl 0.000 0.000 0.093
Tl 0.000 0.000 0.907
Tl 0.000 0.500 0.093
Tl 0.000 0.500 0.907
Tl 0.086 0.586 0.432
Tl 0.086 0.914 0.568
Tl 0.250 0.250 0.189
Tl 0.250 0.250 0.347
Tl 0.250 0.250 0.653
Tl 0.250 0.250 0.811
Tl 0.414 0.586 0.568
Tl 0.414 0.914 0.432
Tl 0.500 0.000 0.093
Tl 0.500 0.000 0.907
Tl 0.500 0.500 0.093
Tl 0.500 0.500 0.907
Tl 0.586 0.086 0.568
Tl 0.586 0.414 0.432
Tl 0.750 0.750 0.189
Tl 0.750 0.750 0.347
Tl 0.750 0.750 0.653
Tl 0.750 0.750 0.811
Tl 0.914 0.086 0.432
Tl 0.914 0.414 0.568
In 0.250 0.750 0.000
In 0.750 0.250 0.000

Peak list (12 most intense, 10 to 80 degrees two-theta, low angle first)
2θ (°)	I/Imax
19.46	27.1
25.36	34.3
25.99	100.0
28.74	25.2
30.67	59.1
33.08	67.5
33.88	44.2
34.53	87.6
37.42	71.5
55.21	24.7
61.45	27.1
63.73	27.2



[2]
Starting from the PBE geometry in Alexandria, the powder X-ray diffraction pattern of Ac2HoC2Br2 was simulated for λ = 1.5418 Å (Cu Kα).
Kinematic intensities with the Lorentz-polarization factor, no thermal factor.

Structural model:
Lattice parameters (Å, degrees): 4.648 4.648 16.382 90.00 90.00 90.00
Fractional positions:
Ac 0.000 0.000 0.102
Ac 0.000 0.000 0.898
Ac 0.500 0.500 0.398
Ac 0.500 0.500 0.602
Ho 0.000 0.000 0.500
Ho 0.500 0.500 0.000
C 0.000 0.500 0.000
C 0.000 0.500 0.500
C 0.500 0.000 0.000
C 0.500 0.000 0.500
Br 0.000 0.000 0.315
Br 0.000 0.000 0.685
Br 0.500 0.500 0.185
Br 0.500 0.500 0.815

Peak list (12 most intense, 10 to 80 degrees two-theta, low angle first)
2θ (°)	I/Imax
10.80	24.7
19.86	9.5
27.13	84.6
33.46	100.0
38.75	37.1
52.11	57.8
55.95	12.8
63.27	16.3
63.44	13.5
66.79	13.8
70.30	10.9
79.98	16.9



[3]
Starting from the PBE geometry in Alexandria, the powder X-ray diffraction pattern of TmB3Rh6 was simulated for λ = 1.5418 Å (Cu Kα).
Kinematic intensities with the Lorentz-polarization factor, no thermal factor.

Structural model:
Lattice parameters (Å, degrees): 6.060 6.060 6.060 53.28 53.28 53.28
Fractional positions:
Tm 0.000 0.000 0.000
B 0.294 0.294 0.294
B 0.627 0.627 0.627
B 0.828 0.828 0.828
Rh 0.057 0.565 0.548
Rh 0.284 0.466 0.873
Rh 0.466 0.873 0.284
Rh 0.548 0.057 0.565
Rh 0.565 0.548 0.057
Rh 0.873 0.284 0.466

Peak list (12 most intense, 10 to 80 degrees two-theta, low angle first)
2θ (°)	I/Imax
29.80	30.9
32.97	16.5
34.58	71.0
37.37	62.3
38.70	100.0
40.03	39.6
45.06	29.2
48.53	73.5
56.96	21.0
69.15	14.0
71.83	15.4
79.67	16.5